Computed X-ray diffraction stick pattern
Compound: TbTcClO4
Radiation: Cu Kα
Structure: a GGA-PBE-relaxed structure
Lines closer than 0.1° are merged.

The 12 most intense peaks (10 to 90 degrees two-theta), sorted by position:
two_theta	I (rel.)
13.29	38.6
17.69	31.5
24.80	100.0
28.80	37.0
29.38	39.9
35.06	21.9
35.37	19.5
45.52	15.4
45.86	15.9
46.20	14.2
46.59	15.2
49.05	12.4

Structure:
```
data_TbTcClO4
_chemical_formula_sum 'Tb4 Tc4 Cl4 O16'
_symmetry_space_group_name_H-M 'C 1 2/m 1'
_symmetry_Int_Tables_number 12
_symmetry_space_group_name_Hall '-C 2y'
_cell_length_a 10.3802
_cell_length_b 7.1856
_cell_length_c 6.8936
_cell_angle_alpha 90.00
_cell_angle_beta 104.96
_cell_angle_gamma 90.00
loop_
_atom_site_label
_atom_site_fract_x
_atom_site_fract_y
_atom_site_fract_z
_atom_site_occupancy
Tb1 0.2184 0.0000 0.0993 1
Tc1 0.1343 0.5000 0.2820 1
Cl1 0.0099 0.0000 0.7658 1
O1 0.0400 0.5000 0.7860 1
O2 0.1992 0.3178 0.1458 1
O3 0.2166 0.5000 0.5370 1
```